Structure and theoretical X-ray diffraction stick pattern of ZnCu3Pd2 (DFT lattice parameters and positions (GGA-PBE); Cu Kα (λ = 1.5418 Å)).
Intensities are scaled so that the largest is 100.

Principal peaks in the range 2θ from 5° to 70°, sorted by position:
Position (°2θ), intensity
11.68, 4
26.20, 3
35.59, 11
35.70, 4
37.40, 2
41.33, 100
41.45, 100
48.01, 62
48.47, 32
61.53, 2

Crystal structure
Lattice parameters (Å, degrees): 5.989 5.989 8.458 114.98 114.98 36.55
Fractional positions:
Zn 0.130 0.130 0.129
Zn 0.870 0.870 0.871
Cu 0.045 0.045 0.387
Cu 0.287 0.287 0.611
Cu 0.379 0.379 0.388
Cu 0.621 0.621 0.612
Cu 0.713 0.713 0.389
Cu 0.955 0.955 0.613
Pd 0.209 0.209 0.859
Pd 0.471 0.471 0.141
Pd 0.529 0.529 0.859
Pd 0.791 0.791 0.141

Structure and theoretical X-ray diffraction stick pattern of ZnCu3Pd (DFT lattice parameters and positions (GGA-PBE); Cu Kα (λ = 1.5418 Å)).
Intensities are scaled so that the largest is 100.

Principal peaks in the range 2θ from 5° to 70°, sorted by position:
Position (°2θ), intensity
20.43, 3
25.78, 3
28.15, 3
37.50, 3
42.50, 100
43.10, 98
43.22, 48
43.80, 47
61.04, 16
63.22, 29

Crystal structure
Lattice parameters (Å, degrees): 4.200 4.200 8.963 102.19 102.19 58.97
Fractional positions:
Zn 0.051 0.051 0.151
Zn 0.949 0.949 0.849
Cu 0.149 0.149 0.448
Cu 0.354 0.354 0.060
Cu 0.453 0.453 0.361
Cu 0.547 0.547 0.639
Cu 0.646 0.646 0.940
Cu 0.851 0.851 0.552
Pd 0.251 0.251 0.752
Pd 0.749 0.749 0.248

Structure and theoretical X-ray diffraction stick pattern of ZrCuPd6 (DFT lattice parameters and positions (GGA-PBE); Cu Kα (λ = 1.5418 Å)).
Intensities are scaled so that the largest is 100.

Principal peaks in the range 2θ from 5° to 70°, sorted by position:
Position (°2θ), intensity
22.35, 1
27.56, 1
31.88, 1
39.30, 100
45.61, 32
45.87, 16
66.49, 10
66.69, 20

Crystal structure
Lattice parameters (Å, degrees): 5.625 5.625 3.956 90.00 90.00 90.00
Fractional positions:
Zr 0.000 0.000 0.000
Cu 0.500 0.500 0.000
Pd 0.000 0.500 0.000
Pd 0.255 0.255 0.500
Pd 0.255 0.745 0.500
Pd 0.500 0.000 0.000
Pd 0.745 0.255 0.500
Pd 0.745 0.745 0.500

Structure and theoretical X-ray diffraction stick pattern of ZrCu2Pd4 (DFT lattice parameters and positions (GGA-PBE); Cu Kα (λ = 1.5418 Å)).
Intensities are scaled so that the largest is 100.

Principal peaks in the range 2θ from 5° to 70°, sorted by position:
Position (°2θ), intensity
28.04, 3
39.45, 100
39.65, 98
45.34, 33
46.09, 31
46.55, 31
66.35, 10
66.93, 9
67.00, 20
67.58, 19

Crystal structure
Lattice parameters (Å, degrees): 4.842 4.842 6.302 98.29 98.29 47.53
Fractional positions:
Zr 0.000 0.000 0.000
Cu 0.153 0.153 0.436
Cu 0.582 0.582 0.692
Pd 0.284 0.284 0.847
Pd 0.435 0.435 0.294
Pd 0.712 0.712 0.142
Pd 0.868 0.868 0.576

Structure and theoretical X-ray diffraction stick pattern of Zr4Cu3Pd (DFT lattice parameters and positions (GGA-PBE); Cu Kα (λ = 1.5418 Å)).
Intensities are scaled so that the largest is 100.

Principal peaks in the range 2θ from 5° to 70°, sorted by position:
Position (°2θ), intensity
34.25, 22
35.66, 100
37.60, 36
40.52, 48
42.76, 35
43.46, 51
55.89, 10
55.99, 16
58.23, 19
68.98, 15

Crystal structure
Lattice parameters (Å, degrees): 3.285 4.230 10.472 90.00 90.00 90.00
Fractional positions:
Zr 0.000 0.000 0.000
Zr 0.000 0.500 0.296
Zr 0.500 0.000 0.492
Zr 0.500 0.500 0.797
Cu 0.000 0.500 0.566
Cu 0.500 0.000 0.218
Cu 0.500 0.500 0.073
Pd 0.000 0.000 0.720

Structure and theoretical X-ray diffraction stick pattern of ZrCu6Pd8 (DFT lattice parameters and positions (GGA-PBE); Cu Kα (λ = 1.5418 Å)).
Intensities are scaled so that the largest is 100.

Principal peaks in the range 2θ from 5° to 70°, sorted by position:
Position (°2θ), intensity
30.86, 56
37.30, 100
38.59, 13
39.19, 46
42.82, 33
45.04, 76
48.11, 27
48.81, 13
50.69, 44
69.43, 15

Crystal structure
Lattice parameters (Å, degrees): 6.244 6.244 6.244 79.25 79.25 79.25
Fractional positions:
Zr 0.000 0.000 0.000
Cu 0.212 0.582 0.430
Cu 0.418 0.570 0.788
Cu 0.430 0.212 0.582
Cu 0.570 0.788 0.418
Cu 0.582 0.430 0.212
Cu 0.788 0.418 0.570
Pd 0.072 0.395 0.824
Pd 0.176 0.928 0.605
Pd 0.234 0.234 0.234
Pd 0.395 0.824 0.072
Pd 0.605 0.176 0.928
Pd 0.766 0.766 0.766
Pd 0.824 0.072 0.395
Pd 0.928 0.605 0.176

Structure and theoretical X-ray diffraction stick pattern of Pm2Cu17 (DFT lattice parameters and positions (GGA-PBE); Cu Kα (λ = 1.5418 Å)).
Intensities are scaled so that the largest is 100.

Principal peaks in the range 2θ from 5° to 70°, sorted by position:
Position (°2θ), intensity
29.75, 29
36.18, 39
37.41, 28
42.03, 63
42.30, 100
43.12, 49
47.52, 30
61.15, 21
61.78, 25
69.27, 17

Crystal structure
Lattice parameters (Å, degrees): 6.501 6.501 6.501 82.82 82.82 82.82
Fractional positions:
Pm 0.158 0.158 0.158
Pm 0.842 0.842 0.842
Cu 0.000 0.500 0.500
Cu 0.156 0.156 0.653
Cu 0.156 0.653 0.156
Cu 0.208 0.500 0.792
Cu 0.208 0.792 0.500
Cu 0.347 0.844 0.844
Cu 0.402 0.402 0.402
Cu 0.500 0.000 0.500
Cu 0.500 0.208 0.792
Cu 0.500 0.500 0.000
Cu 0.500 0.792 0.208
Cu 0.598 0.598 0.598
Cu 0.653 0.156 0.156
Cu 0.792 0.208 0.500
Cu 0.792 0.500 0.208
Cu 0.844 0.347 0.844
Cu 0.844 0.844 0.347

Structure and theoretical X-ray diffraction stick pattern of Pm2Cu7 (DFT lattice parameters and positions (GGA-PBE); Cu Kα (λ = 1.5418 Å)).
Intensities are scaled so that the largest is 100.

Principal peaks in the range 2θ from 5° to 70°, sorted by position:
Position (°2θ), intensity
31.04, 37
32.96, 28
34.53, 44
40.16, 34
40.94, 100
43.43, 16
44.68, 13
59.71, 11
64.72, 11
66.23, 23

Crystal structure
Lattice parameters (Å, degrees): 12.857 12.857 12.857 23.31 23.31 23.31
Fractional positions:
Pm 0.051 0.051 0.051
Pm 0.148 0.148 0.148
Pm 0.852 0.852 0.852
Pm 0.949 0.949 0.949
Cu 0.000 0.500 0.500
Cu 0.109 0.609 0.609
Cu 0.279 0.279 0.279
Cu 0.388 0.388 0.388
Cu 0.391 0.391 0.891
Cu 0.391 0.891 0.391
Cu 0.500 0.000 0.500
Cu 0.500 0.500 0.000
Cu 0.500 0.500 0.500
Cu 0.609 0.109 0.609
Cu 0.609 0.609 0.109
Cu 0.612 0.612 0.612
Cu 0.721 0.721 0.721
Cu 0.891 0.391 0.391

Structure and theoretical X-ray diffraction stick pattern of Pm3Cu2 (DFT lattice parameters and positions (GGA-PBE); Cu Kα (λ = 1.5418 Å)).
Intensities are scaled so that the largest is 100.

Principal peaks in the range 2θ from 5° to 70°, sorted by position:
Position (°2θ), intensity
24.92, 14
30.97, 19
33.95, 100
35.53, 77
37.30, 36
51.13, 27
57.83, 12
62.80, 33
63.93, 15
64.97, 14

Crystal structure
Lattice parameters (Å, degrees): 3.573 3.573 19.600 90.00 90.00 90.00
Fractional positions:
Pm 0.000 0.000 0.000
Pm 0.000 0.000 0.183
Pm 0.000 0.000 0.363
Pm 0.000 0.000 0.637
Pm 0.000 0.000 0.817
Pm 0.500 0.500 0.500
Cu 0.500 0.500 0.092
Cu 0.500 0.500 0.272
Cu 0.500 0.500 0.728
Cu 0.500 0.500 0.908

Structure and theoretical X-ray diffraction stick pattern of Pm3Cu8 (DFT lattice parameters and positions (GGA-PBE); Cu Kα (λ = 1.5418 Å)).
Intensities are scaled so that the largest is 100.

Principal peaks in the range 2θ from 5° to 70°, sorted by position:
Position (°2θ), intensity
32.81, 19
34.06, 52
35.03, 100
38.28, 21
43.63, 29
44.53, 30
48.17, 23
56.48, 26
66.99, 16
67.67, 16

Crystal structure
Lattice parameters (Å, degrees): 13.144 13.144 13.144 163.47 161.84 24.65
Fractional positions:
Pm 0.000 0.000 0.000
Pm 0.352 0.852 0.500
Pm 0.648 0.148 0.500
Cu 0.098 0.598 0.500
Cu 0.193 0.693 0.500
Cu 0.253 0.253 0.000
Cu 0.452 0.452 0.000
Cu 0.548 0.548 0.000
Cu 0.747 0.747 0.000
Cu 0.807 0.307 0.500
Cu 0.902 0.402 0.500

Structure and theoretical X-ray diffraction stick pattern of PmPr2Cu9 (DFT lattice parameters and positions (GGA-PBE); Cu Kα (λ = 1.5418 Å)).
Intensities are scaled so that the largest is 100.

Principal peaks in the range 2θ from 5° to 70°, sorted by position:
Position (°2θ), intensity
31.54, 42
34.09, 45
34.45, 28
39.74, 36
40.39, 100
42.76, 15
43.56, 14
59.43, 13
65.30, 23
65.85, 14

Crystal structure
Lattice parameters (Å, degrees): 8.987 8.987 8.987 34.03 34.03 34.03
Fractional positions:
Pm 0.000 0.000 0.000
Pr 0.143 0.143 0.143
Pr 0.857 0.857 0.857
Cu 0.086 0.577 0.577
Cu 0.331 0.331 0.331
Cu 0.423 0.423 0.914
Cu 0.423 0.914 0.423
Cu 0.500 0.500 0.500
Cu 0.577 0.086 0.577
Cu 0.577 0.577 0.086
Cu 0.669 0.669 0.669
Cu 0.914 0.423 0.423

Structure and theoretical X-ray diffraction stick pattern of Pm2PrCu2 (DFT lattice parameters and positions (GGA-PBE); Cu Kα (λ = 1.5418 Å)).
Intensities are scaled so that the largest is 100.

Principal peaks in the range 2θ from 5° to 70°, sorted by position:
Position (°2θ), intensity
27.84, 55
29.26, 100
30.67, 62
31.85, 33
31.99, 26
35.74, 27
35.92, 23
37.93, 55
42.33, 21
45.18, 20

Crystal structure
Lattice parameters (Å, degrees): 5.046 4.744 11.185 90.00 97.69 90.00
Fractional positions:
Pm 0.151 0.250 0.116
Pm 0.253 0.750 0.509
Pm 0.747 0.250 0.491
Pm 0.849 0.750 0.884
Pr 0.309 0.250 0.756
Pr 0.691 0.750 0.244
Cu 0.210 0.250 0.364
Cu 0.387 0.750 0.998
Cu 0.613 0.250 0.002
Cu 0.790 0.750 0.636

Structure and theoretical X-ray diffraction stick pattern of Pm2PrCu2 (DFT lattice parameters and positions (GGA-PBE); Cu Kα (λ = 1.5418 Å)).
Intensities are scaled so that the largest is 100.

Principal peaks in the range 2θ from 5° to 70°, sorted by position:
Position (°2θ), intensity
26.28, 19
33.54, 17
34.26, 29
34.43, 100
48.70, 12
50.25, 10
57.63, 12
61.46, 18
62.23, 10
67.34, 9

Crystal structure
Lattice parameters (Å, degrees): 13.483 13.483 5.234 90.00 90.00 164.52
Fractional positions:
Pm 0.047 0.953 0.750
Pm 0.230 0.770 0.750
Pm 0.770 0.230 0.250
Pm 0.953 0.047 0.250
Pr 0.141 0.859 0.250
Pr 0.859 0.141 0.750
Cu 0.360 0.640 0.250
Cu 0.456 0.544 0.750
Cu 0.544 0.456 0.250
Cu 0.640 0.360 0.750